No. 1
The following is a theoretical powder XRD pattern of PrSmZn2. It was derived from DFT lattice parameters and positions (GGA-PBE), using Cu Kα (λ = 1.5418 Å).
No peak broadening, texture or thermal motion is included.

The 8 most intense peaks (2θ = 10–80°), in order of falling intensity:
| d [Å] | Position (°2θ) | Rel. int. |
| --- | --- | --- |
| 2.603 | 34.46 | 100 |
| 1.503 | 61.73 | 36 |
| 1.840 | 49.53 | 18 |
| 3.681 | 24.18 | 14 |
| 1.301 | 72.65 | 11 |
| 1.646 | 55.85 | 6 |
| 2.125 | 42.54 | 4 |
| 1.227 | 77.85 | 3 |

Atomic structure:
```
data_PrSmZn2
_chemical_formula_sum 'Pr4 Sm4 Zn8'
_cell_length_a 7.3618
_cell_length_b 7.3618
_cell_length_c 7.3618
_cell_angle_alpha 90.00
_cell_angle_beta 90.00
_cell_angle_gamma 90.00
_space_group_name_H-M_alt 'F m -3 m'
_space_group_IT_number 225
_space_group_name_Hall '-F 4 2 3'
loop_
_atom_site_label
_atom_site_type_symbol
_atom_site_fract_x
_atom_site_fract_y
_atom_site_fract_z
Pr1 Pr 0.0000 0.0000 0.0000
Sm1 Sm 0.0000 0.0000 0.5000
Zn1 Zn 0.2500 0.2500 0.2500
```

***

No. 2
The following is a theoretical powder XRD pattern of MgS2. It was derived from DFT lattice parameters and positions (GGA-PBE), using Cu Kα (λ = 1.5418 Å).
No peak broadening, texture or thermal motion is included.

The 10 most intense peaks (2θ = 10–80°), in order of falling intensity:
| d [Å] | Position (°2θ) | Rel. int. |
| --- | --- | --- |
| 3.222 | 27.69 | 100 |
| 1.988 | 45.64 | 46 |
| 1.903 | 47.80 | 34 |
| 2.749 | 32.57 | 33 |
| 2.281 | 39.50 | 24 |
| 1.614 | 57.08 | 15 |
| 1.692 | 54.22 | 11 |
| 1.499 | 61.91 | 11 |
| 1.375 | 68.23 | 10 |
| 1.252 | 75.98 | 9 |

Atomic structure:
```
data_MgS2
_chemical_formula_sum 'Mg4 S8'
_cell_length_a 3.9745
_cell_length_b 6.8874
_cell_length_c 9.1338
_cell_angle_alpha 90.00
_cell_angle_beta 90.00
_cell_angle_gamma 90.00
_space_group_name_H-M_alt 'C m c 21'
_space_group_IT_number 36
loop_
_space_group_symop_operation_xyz
'x,y,z'
'-x,-y,z+1/2'
'-x,y,z'
'x,-y,z+1/2'
'x+1/2,y+1/2,z'
'-x+1/2,-y+1/2,z+1/2'
'-x+1/2,y+1/2,z'
'x+1/2,-y+1/2,z+1/2'
loop_
_atom_site_label
_atom_site_type_symbol
_atom_site_fract_x
_atom_site_fract_y
_atom_site_fract_z
Mg1 Mg 0.0000 0.0248 0.0000
S1 S 0.0000 0.3145 0.3637
S2 S 0.0000 0.3530 0.1359
```